Record 1
Structure and theoretical X-ray diffraction stick pattern of Hf3TiS8 (a structure optimized by DFT (PBE); a wavelength of 1.5418 Å).
No peak broadening, texture or thermal motion is included.

Cell and atoms:
Lattice parameters (Å, degrees): 7.1874 7.1874 7.9875 117.19 117.19 60.02
Positions (direct):
Hf 0.0000 0.0000 0.0000
Hf 0.0000 0.5000 0.0000
Hf 0.5000 0.0000 0.0000
Ti 0.5000 0.5000 0.0000
S 0.2399 0.2399 0.2161
S 0.2482 0.7328 0.2104
S 0.2671 0.2671 0.7896
S 0.2672 0.7518 0.7896
S 0.7328 0.2482 0.2104
S 0.7329 0.7329 0.2104
S 0.7518 0.2672 0.7896
S 0.7601 0.7601 0.7839

Most intense lines, 5 to 70 degrees two-theta, most intense first:
| d (Å) | Position (°2θ) | I_rel |
| --- | --- | --- |
| 6.785 | 13.0 | 100 |
| 2.661 | 33.7 | 34 |
| 3.077 | 29.0 | 34 |
| 2.643 | 33.9 | 17 |
| 1.797 | 50.8 | 16 |
| 2.130 | 42.4 | 14 |
| 1.965 | 46.2 | 12 |
| 1.739 | 52.6 | 11 |

---

Record 2
Structure and theoretical X-ray diffraction stick pattern of Cs2PbAu2Br6 (a structure optimized by DFT (PBE); a wavelength of 1.5418 Å).
No peak broadening, texture or thermal motion is included.

Cell and atoms:
Lattice parameters (Å, degrees): 8.5214 8.5214 9.0897 119.93 119.93 58.57
Positions (direct):
Cs 0.2318 0.2318 0.2697
Cs 0.7682 0.7682 0.7303
Pb 0.0000 0.0000 0.5000
Au 0.4729 0.4729 0.1980
Au 0.5271 0.5271 0.8020
Br 0.1768 0.7573 0.1900
Br 0.2403 0.2403 0.6724
Br 0.2427 0.8232 0.8100
Br 0.7573 0.1768 0.1900
Br 0.7597 0.7597 0.3276
Br 0.8232 0.2427 0.8100

Most intense lines, 5 to 70 degrees two-theta, most intense first:
| d (Å) | Position (°2θ) | I_rel |
| --- | --- | --- |
| 3.048 | 29.3 | 100 |
| 4.168 | 21.3 | 92 |
| 6.096 | 14.5 | 84 |
| 3.560 | 25.0 | 84 |
| 4.398 | 20.2 | 83 |
| 3.743 | 23.8 | 76 |
| 3.837 | 23.2 | 76 |
| 2.971 | 30.1 | 68 |

---

Record 3
Structure and theoretical X-ray diffraction stick pattern of Sr5Bi4H (a structure optimized by DFT (PBE); a wavelength of 1.5418 Å).
No peak broadening, texture or thermal motion is included.

Cell and atoms:
Lattice parameters (Å, degrees): 8.1440 8.1440 8.1440 100.10 100.10 130.48
Positions (direct):
Sr 0.0000 0.0000 0.0000
Sr 0.2816 0.6560 0.8248
Sr 0.4569 0.2816 0.6257
Sr 0.6560 0.8312 0.3743
Sr 0.8312 0.4569 0.1752
Bi 0.1445 0.3669 0.3952
Bi 0.3669 0.9717 0.2224
Bi 0.7494 0.1445 0.7776
Bi 0.9717 0.7494 0.6048
H 0.6178 0.6178 0.0000

Most intense lines, 5 to 70 degrees two-theta, most intense first:
| d (Å) | Position (°2θ) | I_rel |
| --- | --- | --- |
| 3.307 | 27.0 | 100 |
| 2.374 | 37.9 | 81 |
| 3.411 | 26.1 | 54 |
| 1.929 | 47.1 | 41 |
| 2.339 | 38.5 | 37 |
| 3.858 | 23.1 | 34 |
| 3.102 | 28.8 | 24 |
| 1.357 | 69.2 | 20 |

---

Record 4
Structure and theoretical X-ray diffraction stick pattern of LaThZnPd (a structure optimized by DFT (PBE); a wavelength of 1.5418 Å).
No peak broadening, texture or thermal motion is included.

Cell and atoms:
Lattice parameters (Å, degrees): 5.2050 5.2050 5.2050 60.00 60.00 60.00
Positions (direct):
La 0.0000 0.0000 0.0000
Th 0.5000 0.5000 0.5000
Zn 0.2500 0.2500 0.2500
Pd 0.7500 0.7500 0.7500

Most intense lines, 5 to 70 degrees two-theta, most intense first:
| d (Å) | Position (°2θ) | I_rel |
| --- | --- | --- |
| 2.603 | 34.5 | 100 |
| 1.503 | 61.7 | 37 |
| 1.840 | 49.5 | 18 |
| 3.681 | 24.2 | 13 |
| 4.250 | 20.9 | 7 |
| 1.646 | 55.9 | 6 |
| 2.125 | 42.5 | 4 |
| 2.219 | 40.7 | 4 |